This entry pairs a crystal structure of DyMg2Mo3S8 with its calculated X-ray powder pattern. Radiation: CuKα. Structure: a GGA-PBE-relaxed structure.
Kinematic intensities with the Lorentz-polarization factor, no thermal factor.

Most intense lines, 2θ from 10° to 90°, most intense first:
Position (°2θ)	I (rel.)
33.65	100.0
14.33	99.7
27.74	65.6
47.97	47.3
48.68	41.5
28.02	30.8
44.15	22.1
43.96	18.9
59.87	17.2
14.60	15.2

```
DyMg2Mo3S8
1.0
3.7926 2.1897 6.0686
-3.7926 2.1897 6.0686
0.0000 -4.3794 6.0686
Dy Mg Mo S
1 2 3 8
Direct
0.0000 0.0000 0.0000
0.3764 0.3764 0.3764
0.6236 0.6236 0.6236
0.0000 0.0000 0.5000
0.0000 0.5000 0.0000
0.5000 0.0000 0.0000
0.2252 0.7470 0.7470
0.2385 0.2385 0.2385
0.2530 0.2530 0.7748
0.2530 0.7748 0.2530
0.7470 0.2252 0.7470
0.7470 0.7470 0.2252
0.7615 0.7615 0.7615
0.7748 0.2530 0.2530
```